PrSm4: computed PXRD pattern (a wavelength of 1.5418 Å), based on a DFT-relaxed cell (GGA-PBE, Alexandria).

Peak list (9 most intense, 2θ from 10° to 90°, sorted by position)
2θ 30.04, I = 100; 2θ 34.83, I = 51; 2θ 50.07, I = 36; 2θ 59.50, I = 43; 2θ 62.44, I = 12; 2θ 73.53, I = 6; 2θ 81.39, I = 13; 2θ 81.49, I = 4; 2θ 84.00, I = 16

Cell and atoms:
a = 15.0083 Å, b = 15.0083 Å, c = 15.0083 Å
α = 13.95°, β = 13.95°, γ = 13.95°
Positions (direct):
Pr1 0.0000 0.0000 0.0000
Sm1 0.1998 0.1998 0.1998
Sm2 0.4008 0.4008 0.4008
Sm3 0.5992 0.5992 0.5992
Sm4 0.8002 0.8002 0.8002